Computed X-ray powder pattern
Compound: Pr5Nd2Sm3
Radiation: Cu Ka
Structure: a structure optimized by DFT (GGA-PBE)

Principal peaks in the range 2θ = 10–90°, by angle:
28.90°, rel. 918
30.54°, rel. 1000
32.30°, rel. 465
48.30°, rel. 303
59.30°, rel. 326
61.85°, rel. 246

Crystal structure
Cell: 9.353 9.353 10.189 Å, 108.77 108.77 107.30°
Atoms (fractional coordinates):
1 Pr 0.024 0.976 0.750
2 Pr 0.119 0.366 0.737
3 Pr 0.231 0.769 0.750
4 Pr 0.271 0.729 0.250
5 Pr 0.366 0.119 0.237
6 Pr 0.634 0.881 0.763
7 Pr 0.729 0.271 0.750
8 Pr 0.769 0.231 0.250
9 Pr 0.881 0.634 0.263
10 Pr 0.976 0.024 0.250
11 Nd 0.227 0.473 0.443
12 Nd 0.473 0.227 0.943
13 Nd 0.527 0.773 0.057
14 Nd 0.773 0.527 0.557
15 Sm 0.032 0.282 0.055
16 Sm 0.282 0.032 0.555
17 Sm 0.481 0.519 0.250
18 Sm 0.519 0.481 0.750
19 Sm 0.718 0.968 0.445
20 Sm 0.968 0.718 0.945